Entry 1:
For YAgAs2O8, DFT lattice parameters and positions (PBE) gives the calculated PXRD pattern in this record (copper Kα).
Lines closer than 0.1° are merged.

Largest 10 diffraction maxima, low angle first, 10° ≤ 2θ ≤ 80°:
24.93°, intensity 1000; 32.88°, intensity 692; 35.55°, intensity 197; 49.19°, intensity 587; 51.15°, intensity 153; 57.71°, intensity 127; 62.15°, intensity 175; 63.09°, intensity 119; 68.94°, intensity 103; 73.69°, intensity 124

```
data_YAgAs2O8
_chemical_formula_sum 'Y1 Ag1 As2 O8'
_cell_length_a 5.998
_cell_length_b 5.998
_cell_length_c 5.998
_cell_angle_alpha 106.91
_cell_angle_beta 106.91
_cell_angle_gamma 114.72
_symmetry_space_group_name_H-M 'P 1'
_symmetry_Int_Tables_number 1
loop_
_symmetry_equiv_pos_as_xyz
'x,y,z'
loop_
_atom_site_label
_atom_site_type_symbol
_atom_site_fract_x
_atom_site_fract_y
_atom_site_fract_z
Y1 Y 0.000 0.000 0.000
Ag1 Ag 0.750 0.250 0.500
As1 As 0.250 0.750 0.500
As2 As 0.500 0.500 0.000
O1 O 0.080 0.396 0.315
O2 O 0.080 0.765 0.685
O3 O 0.140 0.318 0.823
O4 O 0.235 0.920 0.315
O5 O 0.495 0.318 0.177
O6 O 0.604 0.920 0.685
O7 O 0.682 0.505 0.823
O8 O 0.682 0.860 0.177
```

Entry 2:
For AgAs2P, DFT lattice parameters and positions (PBE) gives the calculated PXRD pattern in this record (copper Kα).
Lines closer than 0.1° are merged.

Largest 10 diffraction maxima, low angle first, 10° ≤ 2θ ≤ 80°:
28.83°, intensity 70; 29.87°, intensity 104; 33.74°, intensity 1000; 36.40°, intensity 72; 46.42°, intensity 383; 50.43°, intensity 312; 55.01°, intensity 71; 62.06°, intensity 162; 70.95°, intensity 104; 77.85°, intensity 152

```
data_AgAs2P
_chemical_formula_sum 'Ag1 As2 P1'
_cell_length_a 6.996
_cell_length_b 6.996
_cell_length_c 6.996
_cell_angle_alpha 29.98
_cell_angle_beta 29.98
_cell_angle_gamma 29.98
_symmetry_space_group_name_H-M 'P 1'
_symmetry_Int_Tables_number 1
loop_
_symmetry_equiv_pos_as_xyz
'x,y,z'
loop_
_atom_site_label
_atom_site_type_symbol
_atom_site_fract_x
_atom_site_fract_y
_atom_site_fract_z
Ag1 Ag 0.000 0.000 0.000
As1 As 0.510 0.510 0.510
As2 As 0.757 0.757 0.757
P1 P 0.249 0.249 0.249
```

Entry 3:
For Ag2AsPSe4, DFT lattice parameters and positions (PBE) gives the calculated PXRD pattern in this record (copper Kα).
Lines closer than 0.1° are merged.

Largest 10 diffraction maxima, low angle first, 10° ≤ 2θ ≤ 80°:
14.70°, intensity 409; 14.93°, intensity 566; 20.34°, intensity 603; 21.65°, intensity 1000; 24.80°, intensity 416; 24.91°, intensity 450; 30.60°, intensity 774; 33.04°, intensity 666; 34.50°, intensity 587; 48.94°, intensity 428

```
data_Ag2AsPSe4
_chemical_formula_sum 'Ag2 As1 P1 Se4'
_cell_length_a 5.986
_cell_length_b 6.073
_cell_length_c 6.351
_cell_angle_alpha 96.29
_cell_angle_beta 96.56
_cell_angle_gamma 92.80
_symmetry_space_group_name_H-M 'P 1'
_symmetry_Int_Tables_number 1
loop_
_symmetry_equiv_pos_as_xyz
'x,y,z'
loop_
_atom_site_label
_atom_site_type_symbol
_atom_site_fract_x
_atom_site_fract_y
_atom_site_fract_z
Ag1 Ag 0.000 0.000 0.000
Ag2 Ag 0.010 0.971 0.497
As1 As 0.354 0.564 0.850
P1 P 0.571 0.313 0.349
Se1 Se 0.230 0.379 0.149
Se2 Se 0.399 0.200 0.634
Se3 Se 0.646 0.965 0.223
Se4 Se 0.975 0.638 0.734
```

Entry 4:
For Ag2AsPb, DFT lattice parameters and positions (PBE) gives the calculated PXRD pattern in this record (copper Kα).
Lines closer than 0.1° are merged.

Largest 10 diffraction maxima, low angle first, 10° ≤ 2θ ≤ 80°:
24.55°, intensity 165; 34.97°, intensity 748; 35.43°, intensity 1000; 40.10°, intensity 262; 50.97°, intensity 127; 54.56°, intensity 226; 63.03°, intensity 107; 63.91°, intensity 114; 68.94°, intensity 170; 69.56°, intensity 100

```
data_Ag2AsPb
_chemical_formula_sum 'Ag2 As1 Pb1'
_cell_length_a 3.232
_cell_length_b 4.497
_cell_length_c 6.339
_cell_angle_alpha 90.00
_cell_angle_beta 104.76
_cell_angle_gamma 90.00
_symmetry_space_group_name_H-M 'P 1'
_symmetry_Int_Tables_number 1
loop_
_symmetry_equiv_pos_as_xyz
'x,y,z'
loop_
_atom_site_label
_atom_site_type_symbol
_atom_site_fract_x
_atom_site_fract_y
_atom_site_fract_z
Ag1 Ag 0.000 0.000 0.000
Ag2 Ag 0.421 0.500 0.841
As1 As 0.126 0.500 0.249
Pb1 Pb 0.768 0.000 0.517
```

Entry 5:
For Ag2AsPb2, DFT lattice parameters and positions (PBE) gives the calculated PXRD pattern in this record (copper Kα).
Lines closer than 0.1° are merged.

Largest 10 diffraction maxima, low angle first, 10° ≤ 2θ ≤ 80°:
24.49°, intensity 75; 31.40°, intensity 190; 33.79°, intensity 1000; 39.18°, intensity 238; 39.30°, intensity 189; 53.49°, intensity 98; 55.86°, intensity 152; 56.69°, intensity 182; 67.74°, intensity 133; 73.06°, intensity 112

```
data_Ag2AsPb2
_chemical_formula_sum 'Ag4 As2 Pb4'
_cell_length_a 7.270
_cell_length_b 7.270
_cell_length_c 4.586
_cell_angle_alpha 90.00
_cell_angle_beta 90.00
_cell_angle_gamma 90.00
_symmetry_space_group_name_H-M 'P 1'
_symmetry_Int_Tables_number 1
loop_
_symmetry_equiv_pos_as_xyz
'x,y,z'
loop_
_atom_site_label
_atom_site_type_symbol
_atom_site_fract_x
_atom_site_fract_y
_atom_site_fract_z
Ag1 Ag 0.137 0.363 0.000
Ag2 Ag 0.363 0.863 0.000
Ag3 Ag 0.637 0.137 0.000
Ag4 Ag 0.863 0.637 0.000
As1 As 0.000 0.000 0.000
As2 As 0.500 0.500 0.000
Pb1 Pb 0.170 0.670 0.500
Pb2 Pb 0.330 0.170 0.500
Pb3 Pb 0.670 0.830 0.500
Pb4 Pb 0.830 0.330 0.500
```

Entry 6:
For AgAsPb, DFT lattice parameters and positions (PBE) gives the calculated PXRD pattern in this record (copper Kα).
Lines closer than 0.1° are merged.

Largest 10 diffraction maxima, low angle first, 10° ≤ 2θ ≤ 80°:
22.49°, intensity 146; 31.58°, intensity 1000; 39.49°, intensity 475; 44.60°, intensity 112; 50.51°, intensity 39; 51.41°, intensity 257; 61.07°, intensity 262; 66.71°, intensity 236; 71.62°, intensity 82; 73.98°, intensity 88

```
data_AgAsPb
_chemical_formula_sum 'Ag2 As2 Pb2'
_cell_length_a 4.564
_cell_length_b 4.564
_cell_length_c 8.127
_cell_angle_alpha 90.00
_cell_angle_beta 90.00
_cell_angle_gamma 120.00
_symmetry_space_group_name_H-M 'P 1'
_symmetry_Int_Tables_number 1
loop_
_symmetry_equiv_pos_as_xyz
'x,y,z'
loop_
_atom_site_label
_atom_site_type_symbol
_atom_site_fract_x
_atom_site_fract_y
_atom_site_fract_z
Ag1 Ag 0.333 0.667 0.250
Ag2 Ag 0.667 0.333 0.750
As1 As 0.333 0.667 0.750
As2 As 0.667 0.333 0.250
Pb1 Pb 0.000 0.000 0.000
Pb2 Pb 0.000 0.000 0.500
```

Entry 7:
For TlAgAs2PbS5, DFT lattice parameters and positions (PBE) gives the calculated PXRD pattern in this record (copper Kα).
Lines closer than 0.1° are merged.

Largest 10 diffraction maxima, low angle first, 10° ≤ 2θ ≤ 80°:
20.35°, intensity 436; 23.80°, intensity 475; 24.42°, intensity 795; 25.28°, intensity 1000; 26.16°, intensity 998; 30.04°, intensity 916; 30.68°, intensity 975; 32.46°, intensity 484; 33.76°, intensity 545; 36.81°, intensity 469

```
data_TlAgAs2PbS5
_chemical_formula_sum 'Tl2 Ag2 As4 Pb2 S10'
_cell_length_a 8.024
_cell_length_b 8.217
_cell_length_c 9.366
_cell_angle_alpha 65.79
_cell_angle_beta 75.50
_cell_angle_gamma 65.80
_symmetry_space_group_name_H-M 'P 1'
_symmetry_Int_Tables_number 1
loop_
_symmetry_equiv_pos_as_xyz
'x,y,z'
loop_
_atom_site_label
_atom_site_type_symbol
_atom_site_fract_x
_atom_site_fract_y
_atom_site_fract_z
Tl1 Tl 0.215 0.348 0.360
Tl2 Tl 0.785 0.652 0.640
Ag1 Ag 0.387 0.748 0.409
Ag2 Ag 0.613 0.252 0.591
As1 As 0.048 0.884 0.692
As2 As 0.395 0.463 0.858
As3 As 0.605 0.537 0.142
As4 As 0.952 0.116 0.308
Pb1 Pb 0.252 0.040 0.908
Pb2 Pb 0.748 0.960 0.092
S1 S 0.127 0.853 0.243
S2 S 0.137 0.684 0.943
S3 S 0.286 0.424 0.677
S4 S 0.315 0.939 0.588
S5 S 0.374 0.206 0.074
S6 S 0.626 0.794 0.926
S7 S 0.685 0.061 0.412
S8 S 0.714 0.576 0.323
S9 S 0.863 0.316 0.057
S10 S 0.873 0.147 0.757
```

Entry 8:
For AgAsPb2Se4, DFT lattice parameters and positions (PBE) gives the calculated PXRD pattern in this record (copper Kα).
Lines closer than 0.1° are merged.

Largest 10 diffraction maxima, low angle first, 10° ≤ 2θ ≤ 80°:
25.07°, intensity 185; 25.78°, intensity 183; 28.68°, intensity 518; 30.25°, intensity 1000; 41.52°, intensity 344; 42.82°, intensity 362; 43.06°, intensity 170; 43.56°, intensity 189; 51.46°, intensity 137; 52.99°, intensity 183

```
data_AgAsPb2Se4
_chemical_formula_sum 'Ag2 As2 Pb4 Se8'
_cell_length_a 8.461
_cell_length_b 8.461
_cell_length_c 8.409
_cell_angle_alpha 117.80
_cell_angle_beta 117.80
_cell_angle_gamma 58.84
_symmetry_space_group_name_H-M 'P 1'
_symmetry_Int_Tables_number 1
loop_
_symmetry_equiv_pos_as_xyz
'x,y,z'
loop_
_atom_site_label
_atom_site_type_symbol
_atom_site_fract_x
_atom_site_fract_y
_atom_site_fract_z
Ag1 Ag 0.245 0.755 0.000
Ag2 Ag 0.755 0.245 0.000
As1 As 0.746 0.746 0.457
As2 As 0.746 0.746 0.968
Pb1 Pb 0.253 0.253 0.006
Pb2 Pb 0.262 0.778 0.520
Pb3 Pb 0.263 0.263 0.513
Pb4 Pb 0.778 0.262 0.520
Se1 Se 0.008 0.550 0.298
Se2 Se 0.009 0.547 0.802
Se3 Se 0.028 0.028 0.799
Se4 Se 0.039 0.039 0.275
Se5 Se 0.547 0.009 0.802
Se6 Se 0.550 0.008 0.298
Se7 Se 0.550 0.550 0.268
Se8 Se 0.553 0.553 0.825
```

Entry 9:
For Pm2AgAs3Pd4, DFT lattice parameters and positions (PBE) gives the calculated PXRD pattern in this record (copper Kα).
Lines closer than 0.1° are merged.

Largest 10 diffraction maxima, low angle first, 10° ≤ 2θ ≤ 80°:
29.64°, intensity 82; 32.55°, intensity 416; 34.06°, intensity 1000; 42.41°, intensity 532; 45.07°, intensity 173; 47.15°, intensity 255; 54.46°, intensity 191; 61.53°, intensity 173; 65.27°, intensity 191; 72.23°, intensity 226

```
data_Pm2AgAs3Pd4
_chemical_formula_sum 'Pm2 Ag1 As3 Pd4'
_cell_length_a 4.263
_cell_length_b 4.263
_cell_length_c 10.804
_cell_angle_alpha 90.00
_cell_angle_beta 90.00
_cell_angle_gamma 90.00
_symmetry_space_group_name_H-M 'P 1'
_symmetry_Int_Tables_number 1
loop_
_symmetry_equiv_pos_as_xyz
'x,y,z'
loop_
_atom_site_label
_atom_site_type_symbol
_atom_site_fract_x
_atom_site_fract_y
_atom_site_fract_z
Pm1 Pm 0.000 0.500 0.236
Pm2 Pm 0.500 0.000 0.764
Ag1 Ag 0.000 0.000 0.500
As1 As 0.000 0.500 0.867
As2 As 0.500 0.000 0.133
As3 As 0.500 0.500 0.500
Pd1 Pd 0.000 0.000 0.000
Pd2 Pd 0.000 0.500 0.645
Pd3 Pd 0.500 0.000 0.355
Pd4 Pd 0.500 0.500 0.000
```

Entry 10:
For Rb2AgAs2Pd2, DFT lattice parameters and positions (PBE) gives the calculated PXRD pattern in this record (copper Kα).
Lines closer than 0.1° are merged.

Largest 10 diffraction maxima, low angle first, 10° ≤ 2θ ≤ 80°:
11.90°, intensity 1000; 26.38°, intensity 324; 29.72°, intensity 447; 30.93°, intensity 250; 31.24°, intensity 422; 34.21°, intensity 234; 37.36°, intensity 248; 39.14°, intensity 350; 49.89°, intensity 365; 56.56°, intensity 190

```
data_Rb2AgAs2Pd2
_chemical_formula_sum 'Rb2 Ag1 As2 Pd2'
_cell_length_a 6.539
_cell_length_b 6.539
_cell_length_c 8.683
_cell_angle_alpha 118.88
_cell_angle_beta 118.88
_cell_angle_gamma 41.22
_symmetry_space_group_name_H-M 'P 1'
_symmetry_Int_Tables_number 1
loop_
_symmetry_equiv_pos_as_xyz
'x,y,z'
loop_
_atom_site_label
_atom_site_type_symbol
_atom_site_fract_x
_atom_site_fract_y
_atom_site_fract_z
Rb1 Rb 0.066 0.066 0.330
Rb2 Rb 0.934 0.934 0.670
Ag1 Ag 0.500 0.500 0.000
As1 As 0.259 0.259 0.812
As2 As 0.741 0.741 0.188
Pd1 Pd 0.268 0.268 0.107
Pd2 Pd 0.732 0.732 0.893
```

Entry 11:
For Ag2AsPdS4, DFT lattice parameters and positions (PBE) gives the calculated PXRD pattern in this record (copper Kα).
Lines closer than 0.1° are merged.

Largest 10 diffraction maxima, low angle first, 10° ≤ 2θ ≤ 80°:
27.37°, intensity 1000; 31.51°, intensity 71; 31.81°, intensity 144; 45.39°, intensity 372; 45.60°, intensity 180; 53.63°, intensity 144; 54.01°, intensity 279; 56.49°, intensity 59; 72.98°, intensity 111; 73.30°, intensity 54

```
data_Ag2AsPdS4
_chemical_formula_sum 'Ag2 As1 Pd1 S4'
_cell_length_a 6.933
_cell_length_b 6.933
_cell_length_c 6.933
_cell_angle_alpha 132.12
_cell_angle_beta 132.12
_cell_angle_gamma 70.04
_symmetry_space_group_name_H-M 'P 1'
_symmetry_Int_Tables_number 1
loop_
_symmetry_equiv_pos_as_xyz
'x,y,z'
loop_
_atom_site_label
_atom_site_type_symbol
_atom_site_fract_x
_atom_site_fract_y
_atom_site_fract_z
Ag1 Ag 0.000 0.000 0.000
Ag2 Ag 0.750 0.250 0.500
As1 As 0.250 0.750 0.500
Pd1 Pd 0.500 0.500 0.000
S1 S 0.155 0.627 0.037
S2 S 0.373 0.410 0.528
S3 S 0.590 0.118 0.963
S4 S 0.882 0.845 0.472
```

Entry 12:
For PuAg2AsS4, DFT lattice parameters and positions (PBE) gives the calculated PXRD pattern in this record (copper Kα).
Lines closer than 0.1° are merged.

Largest 10 diffraction maxima, low angle first, 10° ≤ 2θ ≤ 80°:
13.12°, intensity 547; 25.60°, intensity 351; 26.42°, intensity 574; 28.37°, intensity 700; 28.61°, intensity 416; 29.37°, intensity 1000; 36.10°, intensity 413; 37.91°, intensity 439; 46.13°, intensity 539; 47.19°, intensity 412

```
data_PuAg2AsS4
_chemical_formula_sum 'Pu2 Ag4 As2 S8'
_cell_length_a 7.894
_cell_length_b 7.894
_cell_length_c 7.894
_cell_angle_alpha 118.09
_cell_angle_beta 101.84
_cell_angle_gamma 108.90
_symmetry_space_group_name_H-M 'P 1'
_symmetry_Int_Tables_number 1
loop_
_symmetry_equiv_pos_as_xyz
'x,y,z'
loop_
_atom_site_label
_atom_site_type_symbol
_atom_site_fract_x
_atom_site_fract_y
_atom_site_fract_z
Pu1 Pu 0.000 0.000 0.000
Pu2 Pu 0.000 0.500 0.500
Ag1 Ag 0.376 0.376 0.000
Ag2 Ag 0.376 0.876 0.500
Ag3 Ag 0.413 0.385 0.528
Ag4 Ag 0.857 0.885 0.472
As1 As 0.470 0.937 0.033
As2 As 0.904 0.437 0.967
S1 S 0.181 0.949 0.732
S2 S 0.216 0.449 0.268
S3 S 0.298 0.555 0.821
S4 S 0.298 0.977 0.243
S5 S 0.734 0.055 0.757
S6 S 0.734 0.477 0.179
S7 S 0.783 0.540 0.743
S8 S 0.798 0.040 0.257
```